[1]
Diffraction record for Ba8GaSn2. The powder diffractogram is calculated, not measured: it uses a GGA-PBE-relaxed structure and Cu Kα (λ = 1.5418 Å).
Peak positions follow from Bragg's law for the DFT cell and can differ from measured ones.

Principal peaks in the range 10° ≤ 2θ ≤ 90°, sorted by position:
24.19 deg, I 13
27.52 deg, I 14
27.76 deg, I 29
28.57 deg, I 100
30.78 deg, I 33
32.07 deg, I 15
45.04 deg, I 12
53.35 deg, I 22

a = 10.1544 Å, b = 10.1544 Å, c = 10.1544 Å
α = 146.75°, β = 121.58°, γ = 68.91°
Fractional positions:
Ba1 0.1223 0.3461 0.7762
Ba2 0.1356 0.1356 0.0000
Ba3 0.3319 0.0000 0.3319
Ba4 0.4301 0.6539 0.7762
Ba5 0.5699 0.3461 0.2238
Ba6 0.6681 0.0000 0.6681
Ba7 0.8644 0.8644 0.0000
Ba8 0.8777 0.6539 0.2238
Ga1 0.0000 0.5000 0.5000
Sn1 0.3033 0.8033 0.5000
Sn2 0.6967 0.1967 0.5000

***

[2]
Diffraction record for Ba3SrGa3. The powder diffractogram is calculated, not measured: it uses a GGA-PBE-relaxed structure and Cu Kα (λ = 1.5418 Å).
Peak positions follow from Bragg's law for the DFT cell and can differ from measured ones.

Principal peaks in the range 10° ≤ 2θ ≤ 90°, sorted by position:
23.76 deg, I 13
27.72 deg, I 69
30.52 deg, I 100
41.70 deg, I 23
44.98 deg, I 21
52.55 deg, I 23
54.04 deg, I 23
54.25 deg, I 19

a = 5.8551 Å, b = 5.8551 Å, c = 16.6575 Å
α = 90.00°, β = 90.00°, γ = 119.93°
Fractional positions:
Ba1 0.9999 0.0001 0.2500
Ba2 0.0001 0.9999 0.7500
Ba3 0.3336 0.6664 0.6137
Ba4 0.3336 0.6664 0.8863
Ba5 0.6664 0.3336 0.1137
Ba6 0.6664 0.3336 0.3863
Sr1 0.0000 0.0000 0.0000
Sr2 0.0000 0.0000 0.5000
Ga1 0.3329 0.6671 0.0967
Ga2 0.3334 0.6666 0.2500
Ga3 0.3329 0.6671 0.4033
Ga4 0.6671 0.3329 0.5967
Ga5 0.6666 0.3334 0.7500
Ga6 0.6671 0.3329 0.9033

***

[3]
Diffraction record for BaGa3Tc. The powder diffractogram is calculated, not measured: it uses a GGA-PBE-relaxed structure and Cu Kα (λ = 1.5418 Å).
Peak positions follow from Bragg's law for the DFT cell and can differ from measured ones.

Principal peaks in the range 10° ≤ 2θ ≤ 90°, sorted by position:
25.56 deg, I 61
25.75 deg, I 32
31.52 deg, I 97
36.18 deg, I 37
36.74 deg, I 100
52.52 deg, I 49
52.94 deg, I 34
62.93 deg, I 26

a = 6.9182 Å, b = 6.9182 Å, c = 4.9655 Å
α = 90.00°, β = 90.00°, γ = 90.00°
Fractional positions:
Ba1 0.2500 0.7500 0.0000
Ba2 0.7500 0.2500 0.0000
Ga1 0.0000 0.0000 0.5000
Ga2 0.0000 0.5000 0.5000
Ga3 0.2500 0.2500 0.0718
Ga4 0.5000 0.0000 0.5000
Ga5 0.5000 0.5000 0.5000
Ga6 0.7500 0.7500 0.9282
Tc1 0.2500 0.2500 0.5784
Tc2 0.7500 0.7500 0.4216

***

[4]
Diffraction record for BaGa9Tc2. The powder diffractogram is calculated, not measured: it uses a GGA-PBE-relaxed structure and Cu Kα (λ = 1.5418 Å).
Peak positions follow from Bragg's law for the DFT cell and can differ from measured ones.

Principal peaks in the range 10° ≤ 2θ ≤ 90°, sorted by position:
20.61 deg, I 27
32.61 deg, I 75
34.82 deg, I 100
40.80 deg, I 50
41.92 deg, I 96
44.41 deg, I 51
51.30 deg, I 27
68.33 deg, I 43

a = 8.6196 Å, b = 8.6196 Å, c = 3.5620 Å
α = 90.00°, β = 90.00°, γ = 120.00°
Fractional positions:
Ba1 0.0000 0.0000 0.0000
Ga1 0.0000 0.5000 0.0000
Ga2 0.1989 0.3978 0.5000
Ga3 0.1989 0.8011 0.5000
Ga4 0.3978 0.1989 0.5000
Ga5 0.5000 0.0000 0.0000
Ga6 0.5000 0.5000 0.0000
Ga7 0.6022 0.8011 0.5000
Ga8 0.8011 0.1989 0.5000
Ga9 0.8011 0.6022 0.5000
Tc1 0.3333 0.6667 0.0000
Tc2 0.6667 0.3333 0.0000

***

[5]
Diffraction record for BaGa2Te2. The powder diffractogram is calculated, not measured: it uses a GGA-PBE-relaxed structure and Cu Kα (λ = 1.5418 Å).
Peak positions follow from Bragg's law for the DFT cell and can differ from measured ones.

Principal peaks in the range 10° ≤ 2θ ≤ 90°, sorted by position:
29.10 deg, I 100
31.18 deg, I 96
32.61 deg, I 43
44.67 deg, I 51
45.75 deg, I 33
54.21 deg, I 35
65.02 deg, I 21
81.23 deg, I 20

a = 6.2011 Å, b = 6.2011 Å, c = 6.2011 Å
α = 124.90°, β = 124.90°, γ = 81.71°
Fractional positions:
Ba1 0.0000 0.0000 0.0000
Ga1 0.3570 0.3570 0.0000
Ga2 0.6430 0.6430 0.0000
Te1 0.2500 0.7500 0.5000
Te2 0.7500 0.2500 0.5000

***

[6]
Diffraction record for BaGa4Te7. The powder diffractogram is calculated, not measured: it uses a GGA-PBE-relaxed structure and Cu Kα (λ = 1.5418 Å).
Peak positions follow from Bragg's law for the DFT cell and can differ from measured ones.

Principal peaks in the range 10° ≤ 2θ ≤ 90°, sorted by position:
24.49 deg, I 48
24.86 deg, I 38
25.76 deg, I 65
27.72 deg, I 100
28.05 deg, I 38
43.55 deg, I 41
46.65 deg, I 47
51.29 deg, I 29

a = 16.8761 Å, b = 7.1642 Å, c = 6.9171 Å
α = 90.00°, β = 90.00°, γ = 90.00°
Fractional positions:
Ba1 0.0000 0.1308 0.0000
Ba2 0.5000 0.8692 0.5000
Ga1 0.1217 0.6634 0.6948
Ga2 0.2492 0.1751 0.6803
Ga3 0.2508 0.8249 0.1803
Ga4 0.3783 0.3366 0.1948
Ga5 0.6217 0.3366 0.1948
Ga6 0.7492 0.8249 0.1803
Ga7 0.7508 0.1751 0.6803
Ga8 0.8783 0.6634 0.6948
Te1 0.0000 0.8568 0.5554
Te2 0.1113 0.3126 0.5778
Te3 0.1114 0.6964 0.0750
Te4 0.2406 0.1850 0.0722
Te5 0.2594 0.8150 0.5722
Te6 0.3886 0.3036 0.5750
Te7 0.3887 0.6874 0.0778
Te8 0.5000 0.1432 0.0554
Te9 0.6114 0.3036 0.5750
Te10 0.6113 0.6874 0.0778
Te11 0.7406 0.8150 0.5722
Te12 0.7594 0.1850 0.0722
Te13 0.8887 0.3126 0.5778
Te14 0.8886 0.6964 0.0750